[1]
The following is a calculated powder XRD pattern of KCaN. It was derived from a cell relaxed with PBE, using Cu Kα, 1.54184 Å.
Neutral-atom scattering factors, no anomalous dispersion.

Structural model:
a = 3.906 Å, b = 3.906 Å, c = 6.696 Å
α = 107.03°, β = 107.03°, γ = 59.98°
Fractional coordinates of all 3 atoms:
K 0.000 0.000 0.000
Ca 0.466 0.466 0.398
N 0.762 0.762 0.285

Main lines, by angle (10 to 90 degrees two-theta):
- 2θ = 14.05°, I 62
- 2θ = 28.02°, I 95
- 2θ = 28.33°, I 25
- 2θ = 32.55°, I 100
- 2θ = 42.85°, I 22
- 2θ = 46.50°, I 41

---

[2]
The following is a calculated powder XRD pattern of KCaP2N. It was derived from a cell relaxed with PBE, using Cu Kα, 1.54184 Å.
Neutral-atom scattering factors, no anomalous dispersion.

Structural model:
a = 4.348 Å, b = 4.348 Å, c = 4.759 Å
α = 90.00°, β = 90.00°, γ = 90.00°
Fractional coordinates of all 5 atoms:
K 0.000 0.000 0.000
Ca 0.500 0.500 0.000
P 0.000 0.500 0.500
P 0.500 0.000 0.500
N 0.000 0.000 0.500

Main lines, by angle (10 to 90 degrees two-theta):
- 2θ = 34.73°, I 100
- 2θ = 37.80°, I 28
- 2θ = 41.53°, I 42
- 2θ = 57.41°, I 29
- 2θ = 66.30°, I 13
- 2θ = 71.40°, I 22

---

[3]
The following is a calculated powder XRD pattern of K2Na2Ca. It was derived from a cell relaxed with PBE, using Cu Kα, 1.54184 Å.
Neutral-atom scattering factors, no anomalous dispersion.

Structural model:
a = 13.528 Å, b = 13.528 Å, c = 13.528 Å
α = 160.82°, β = 160.82°, γ = 27.25°
Fractional coordinates of all 5 atoms:
K 0.114 0.114 0.000
K 0.886 0.886 0.000
Na 0.250 0.750 0.500
Na 0.750 0.250 0.500
Ca 0.500 0.500 0.000

Main lines, by angle (10 to 90 degrees two-theta):
- 2θ = 22.18°, I 84
- 2θ = 26.04°, I 100
- 2θ = 27.13°, I 42
- 2θ = 28.83°, I 59
- 2θ = 31.19°, I 32
- 2θ = 40.01°, I 32

---

[4]
The following is a calculated powder XRD pattern of KNa10Ca. It was derived from a cell relaxed with PBE, using Cu Kα, 1.54184 Å.
Neutral-atom scattering factors, no anomalous dispersion.

Structural model:
a = 5.898 Å, b = 7.039 Å, c = 12.034 Å
α = 90.00°, β = 90.00°, γ = 90.00°
Fractional coordinates of all 12 atoms:
K 0.000 0.000 0.000
Na 0.000 0.000 0.343
Na 0.000 0.000 0.657
Na 0.000 0.500 0.178
Na 0.000 0.500 0.822
Na 0.500 0.000 0.500
Na 0.500 0.261 0.268
Na 0.500 0.261 0.732
Na 0.500 0.500 0.000
Na 0.500 0.739 0.268
Na 0.500 0.739 0.732
Ca 0.000 0.500 0.500

Main lines, by angle (10 to 90 degrees two-theta):
- 2θ = 20.99°, I 29
- 2θ = 25.56°, I 20
- 2θ = 29.40°, I 27
- 2θ = 29.56°, I 44
- 2θ = 29.77°, I 100
- 2θ = 30.31°, I 42

---

[5]
The following is a calculated powder XRD pattern of K2NaCaSe. It was derived from a cell relaxed with PBE, using Cu Kα, 1.54184 Å.
Neutral-atom scattering factors, no anomalous dispersion.

Structural model:
a = 6.505 Å, b = 6.505 Å, c = 5.616 Å
α = 90.00°, β = 90.00°, γ = 90.00°
Fractional coordinates of all 5 atoms:
K 0.000 0.500 0.000
K 0.500 0.000 0.000
Na 0.000 0.000 0.500
Ca 0.500 0.500 0.500
Se 0.500 0.500 0.000

Main lines, by angle (10 to 90 degrees two-theta):
- 2θ = 13.61°, I 99
- 2θ = 27.42°, I 100
- 2θ = 31.84°, I 56
- 2θ = 34.77°, I 34
- 2θ = 39.17°, I 36
- 2θ = 42.53°, I 66

---

[6]
The following is a calculated powder XRD pattern of K2CaNbO4. It was derived from a cell relaxed with PBE, using Cu Kα, 1.54184 Å.
Neutral-atom scattering factors, no anomalous dispersion.

Structural model:
a = 5.932 Å, b = 5.932 Å, c = 5.932 Å
α = 117.33°, β = 117.33°, γ = 94.69°
Fractional coordinates of all 8 atoms:
K 0.000 0.000 0.000
K 0.750 0.250 0.500
Ca 0.500 0.500 0.000
Nb 0.250 0.750 0.500
O 0.185 0.086 0.577
O 0.391 0.815 0.901
O 0.509 0.609 0.423
O 0.914 0.491 0.099

Main lines, by angle (10 to 90 degrees two-theta):
- 2θ = 18.12°, I 36
- 2θ = 28.94°, I 32
- 2θ = 30.23°, I 100
- 2θ = 41.39°, I 24
- 2θ = 52.11°, I 36
- 2θ = 54.49°, I 21

---

[7]
The following is a calculated powder XRD pattern of KCaNdP2O8. It was derived from a cell relaxed with PBE, using Cu Kα, 1.54184 Å.
Neutral-atom scattering factors, no anomalous dispersion.

Structural model:
a = 7.079 Å, b = 7.079 Å, c = 12.968 Å
α = 90.00°, β = 90.00°, γ = 120.00°
Fractional coordinates of all 39 atoms:
K 0.000 0.000 0.000
K 0.000 0.000 0.333
K 0.000 0.000 0.667
Ca 0.000 0.500 0.264
Ca 0.500 0.000 0.931
Ca 0.500 0.500 0.597
Nd 0.000 0.500 0.769
Nd 0.500 0.000 0.436
Nd 0.500 0.500 0.103
P 0.000 0.500 0.014
P 0.000 0.500 0.522
P 0.500 0.000 0.189
P 0.500 0.000 0.681
P 0.500 0.500 0.347
P 0.500 0.500 0.855
O 0.133 0.434 0.086
O 0.135 0.699 0.450
O 0.136 0.440 0.596
O 0.137 0.696 0.941
O 0.301 0.436 0.783
O 0.301 0.867 0.752
O 0.304 0.441 0.274
O 0.304 0.864 0.262
O 0.434 0.301 0.419
O 0.436 0.135 0.117
O 0.440 0.304 0.929
O 0.441 0.137 0.608
O 0.559 0.863 0.608
O 0.560 0.696 0.929
O 0.564 0.865 0.117
O 0.566 0.699 0.419
O 0.696 0.136 0.262
O 0.696 0.559 0.274
O 0.699 0.133 0.752
O 0.699 0.564 0.783
O 0.863 0.304 0.941
O 0.864 0.560 0.596
O 0.865 0.301 0.450
O 0.867 0.566 0.086

Main lines, by angle (10 to 90 degrees two-theta):
- 2θ = 14.45°, I 35
- 2θ = 15.99°, I 51
- 2θ = 29.13°, I 100
- 2θ = 31.21°, I 64
- 2θ = 48.28°, I 40
- 2θ = 52.97°, I 26

---

[8]
The following is a calculated powder XRD pattern of KCaNd2Te4. It was derived from a cell relaxed with PBE, using Cu Kα, 1.54184 Å.
Neutral-atom scattering factors, no anomalous dispersion.

Structural model:
a = 7.906 Å, b = 4.530 Å, c = 8.119 Å
α = 90.00°, β = 108.53°, γ = 90.00°
Fractional coordinates of all 8 atoms:
K 0.000 0.000 0.000
Ca 0.500 0.500 0.000
Nd 0.000 0.500 0.500
Nd 0.500 0.000 0.500
Te 0.256 0.000 0.745
Te 0.263 0.500 0.265
Te 0.737 0.500 0.735
Te 0.744 0.000 0.255

Main lines, by angle (10 to 90 degrees two-theta):
- 2θ = 11.50°, I 18
- 2θ = 27.41°, I 100
- 2θ = 38.48°, I 13
- 2θ = 38.77°, I 26
- 2θ = 39.56°, I 25
- 2θ = 49.01°, I 14